Entry 1:
The following is a computed X-ray diffraction stick pattern of AcAlCu. It was derived from a structure optimized by DFT (GGA-PBE), using Cu Kα.

Crystal structure
```
AcAlCu
1.0
6.473 0.000 0.000
0.000 6.702 0.000
-4.152 0.000 6.768
Ac Al Cu
4 4 4
direct
0.204 0.146 0.409 Ac
0.204 0.354 0.909 Ac
0.796 0.646 0.091 Ac
0.796 0.854 0.591 Ac
0.273 0.641 0.580 Al
0.273 0.859 0.080 Al
0.727 0.141 0.920 Al
0.727 0.359 0.420 Al
0.371 0.585 0.318 Cu
0.371 0.915 0.818 Cu
0.629 0.085 0.182 Cu
0.629 0.415 0.682 Cu
```

Peak list (10 most intense, 2θ from 15° to 90°, low angle first)
| 2θ (°) | Rel. int. |
| --- | --- |
| 20.85 | 82 |
| 22.52 | 55 |
| 26.20 | 61 |
| 29.57 | 56 |
| 29.75 | 61 |
| 30.41 | 100 |
| 30.91 | 64 |
| 36.79 | 56 |
| 37.26 | 63 |
| 37.76 | 48 |

---

Entry 2:
The following is a computed X-ray diffraction stick pattern of Ac4Al3Cu2. It was derived from a structure optimized by DFT (GGA-PBE), using Cu Kα.

Crystal structure
```
Ac4Al3Cu2
1.0
8.336 -2.096 0.000
8.336 2.096 0.000
-2.184 0.000 7.228
Ac Al Cu
4 3 2
direct
0.073 0.073 0.368 Ac
0.262 0.262 0.798 Ac
0.738 0.738 0.202 Ac
0.927 0.927 0.632 Ac
0.402 0.402 0.232 Al
0.500 0.500 0.000 Al
0.598 0.598 0.768 Al
0.093 0.093 0.960 Cu
0.907 0.907 0.040 Cu
```

Peak list (10 most intense, 2θ from 15° to 90°, low angle first)
| 2θ (°) | Rel. int. |
| --- | --- |
| 18.80 | 55 |
| 21.93 | 60 |
| 24.37 | 60 |
| 27.69 | 93 |
| 28.11 | 83 |
| 29.95 | 51 |
| 31.82 | 100 |
| 33.69 | 57 |
| 42.20 | 44 |
| 55.85 | 42 |